No. 1
Diffraction record for CdAsCl. The X-ray powder pattern is theoretical, not measured: it uses DFT lattice parameters and positions (PBE) and Cu Kα.

Principal peaks in the range 2θ from 15° to 90°, by angle:
Position (°2θ)	d_spacing	Rel. int.
17.04	5.205	359
24.48	3.637	1000
28.23	3.162	506
28.91	3.088	821
31.01	2.884	821
33.96	2.640	719
42.13	2.145	659
43.50	2.081	503
45.93	1.976	514
46.81	1.941	317

Cell lengths 3.8815, 10.4099, 7.6734 Å; angles 90.00, 90.00, 90.00 degrees
Space group Ima2 (No. 46)
Symmetry-distinct sites (fractional):
Cd1 0.2500 0.2086 0.0000 x4
As1 0.2500 0.0762 0.7069 x4
Cl1 0.2500 0.6451 0.7212 x4



No. 2
Diffraction record for Al5Au6. The X-ray powder pattern is theoretical, not measured: it uses DFT lattice parameters and positions (PBE) and Cu Kα.

Principal peaks in the range 2θ from 15° to 90°, by angle:
Position (°2θ)	d_spacing	Rel. int.
27.21	3.278	849
28.55	3.126	762
28.96	3.083	737
39.85	2.262	1000
40.15	2.246	983
41.07	2.198	460
41.17	2.193	464
50.00	1.824	665
67.08	1.395	208
71.89	1.313	346

Cell lengths 13.8414, 6.5554, 4.3859 Å; angles 90.00, 107.68, 90.00 degrees
Space group C2/m (No. 12)
Symmetry-distinct sites (fractional):
Al1 0.0000 0.0000 0.0000 x2
Al2 0.1637 0.5000 0.6643 x4
Al3 0.1663 0.0000 0.6667 x4
Au1 0.0000 0.2571 0.5000 x4
Au2 0.1625 0.2599 0.1621 x8



No. 3
Diffraction record for La5Ge4. The X-ray powder pattern is theoretical, not measured: it uses DFT lattice parameters and positions (PBE) and Cu Kα.

Principal peaks in the range 2θ from 15° to 90°, by angle:
Position (°2θ)	d_spacing	Rel. int.
26.40	3.376	275
29.42	3.036	185
30.20	2.960	1000
30.50	2.931	843
31.53	2.837	297
32.36	2.767	516
35.64	2.519	436
36.04	2.492	324
38.59	2.333	187
39.23	2.297	488

Cell lengths 11.4239, 4.5933, 10.4331 Å; angles 90.00, 112.31, 90.00 degrees
Space group C2/m (No. 12)
Symmetry-distinct sites (fractional):
La1 0.0000 0.0000 0.0000 x2
La2 0.0996 0.0000 0.3922 x4
La3 0.2471 0.0000 0.8331 x4
Ge1 0.0486 0.5000 0.8289 x4
Ge2 0.1219 0.5000 0.6112 x4



No. 4
Diffraction record for ZnAgPO4. The X-ray powder pattern is theoretical, not measured: it uses DFT lattice parameters and positions (PBE) and Cu Kα.

Principal peaks in the range 2θ from 15° to 90°, by angle:
Position (°2θ)	d_spacing	Rel. int.
22.18	4.007	174
28.81	3.099	737
29.09	3.070	1000
29.19	3.060	325
34.28	2.616	390
34.53	2.598	369
35.19	2.550	157
37.72	2.385	133
42.71	2.117	126
45.26	2.004	130

Cell lengths 5.1006, 8.4684, 9.0983 Å; angles 90.02, 90.45, 90.10 degrees
Space group P1 (No. 1)
Symmetry-distinct sites (fractional):
Zn1 0.0000 0.0000 0.0000 x1
Zn2 0.0680 0.4998 0.6515 x1
Zn3 0.4715 0.5112 0.1531 x1
Zn4 0.5962 0.0108 0.4976 x1
Ag1 0.0915 0.8244 0.3310 x1
Ag2 0.4809 0.8131 0.8247 x1
Ag3 0.5861 0.3112 0.8261 x1
Ag4 0.9775 0.3263 0.3197 x1
P1 0.1032 0.1131 0.6666 x1
P2 0.4987 0.1278 0.1636 x1
P3 0.5688 0.6273 0.4876 x1
P4 0.9652 0.6136 0.9843 x1
O1 0.1848 0.0269 0.8112 x1
O2 0.2145 0.2845 0.6738 x1
O3 0.2203 0.0256 0.5324 x1
O4 0.2680 0.6193 0.0006 x1
O5 0.2861 0.9956 0.1501 x1
O6 0.3520 0.2890 0.1712 x1
O7 0.3841 0.6308 0.6235 x1
O8 0.3932 0.5983 0.3494 x1
O9 0.6731 0.1009 0.3024 x1
O10 0.6843 0.1304 0.0280 x1
O11 0.7148 0.7888 0.4778 x1
O12 0.7816 0.4958 0.5016 x1
O13 0.8003 0.1177 0.6510 x1
O14 0.8475 0.5280 0.1196 x1
O15 0.8541 0.7846 0.9745 x1
O16 0.8846 0.5248 0.8408 x1